# 1
Structure and calculated powder X-ray diffraction pattern of Dy4HoTl4 (the GGA-PBE geometry in Alexandria; Cu Ka).
Peak positions follow from Bragg's law for the DFT cell and can differ from measured ones.

Main lines, most intense first (2θ from 10° to 90°):
| d [Å] | 2θ/deg | intensity |
| --- | --- | --- |
| 2.968 | 30.11 | 100 |
| 2.419 | 37.17 | 75 |
| 2.766 | 32.37 | 69 |
| 2.383 | 37.75 | 66 |
| 2.823 | 31.70 | 59 |
| 2.895 | 30.89 | 46 |

Lattice parameters (Å, degrees): 9.3854 9.3854 5.9197 90.00 90.00 90.00
Fractional positions:
Dy1 0.0894 0.8267 0.1305
Dy2 0.1733 0.5894 0.6305
Dy3 0.3267 0.9106 0.6305
Dy4 0.4106 0.6733 0.1305
Dy5 0.5894 0.3267 0.8695
Dy6 0.6733 0.0894 0.3695
Dy7 0.8267 0.4106 0.3695
Dy8 0.9106 0.1733 0.8695
Ho1 0.2500 0.2500 0.7500
Ho2 0.7500 0.7500 0.2500
Tl1 0.0415 0.1479 0.3623
Tl2 0.1479 0.4585 0.1377
Tl3 0.3521 0.0415 0.1377
Tl4 0.4585 0.3521 0.3623
Tl5 0.5415 0.6479 0.6377
Tl6 0.6479 0.9585 0.8623
Tl7 0.8521 0.5415 0.8623
Tl8 0.9585 0.8521 0.6377


# 2
Structure and calculated powder X-ray diffraction pattern of Ac7Pr4Ho (the GGA-PBE geometry in Alexandria; Cu Ka).
Peak positions follow from Bragg's law for the DFT cell and can differ from measured ones.

Main lines, most intense first (2θ from 10° to 90°):
| d [Å] | 2θ/deg | intensity |
| --- | --- | --- |
| 3.034 | 29.44 | 100 |
| 2.894 | 30.90 | 58 |
| 3.131 | 28.51 | 49 |
| 3.338 | 26.70 | 39 |
| 1.653 | 55.61 | 31 |
| 2.874 | 31.12 | 29 |

Lattice parameters (Å, degrees): 6.7345 7.7527 9.6503 89.59 76.73 89.86
Fractional positions:
Ac1 0.0000 0.0000 0.0000
Ac2 0.2207 0.4999 0.3320
Ac3 0.2798 0.7533 0.6665
Ac4 0.4973 0.2511 0.9956
Ac5 0.5027 0.7489 0.0044
Ac6 0.7202 0.2467 0.3335
Ac7 0.7793 0.5001 0.6680
Pr1 0.2236 0.0013 0.3343
Pr2 0.2719 0.2503 0.6712
Pr3 0.7281 0.7497 0.3288
Pr4 0.7764 0.9987 0.6657
Ho1 0.0000 0.5000 0.0000


# 3
Structure and calculated powder X-ray diffraction pattern of LaTbPm4Tm2 (the GGA-PBE geometry in Alexandria; Cu Ka).
Peak positions follow from Bragg's law for the DFT cell and can differ from measured ones.

Main lines, most intense first (2θ from 10° to 90°):
| d [Å] | 2θ/deg | intensity |
| --- | --- | --- |
| 2.949 | 30.31 | 100 |
| 2.550 | 35.19 | 34 |
| 1.539 | 60.14 | 29 |
| 1.807 | 50.50 | 24 |
| 2.561 | 35.03 | 17 |
| 1.543 | 59.94 | 14 |

Lattice parameters (Å, degrees): 5.0959 5.1227 10.2118 90.00 90.00 90.00
Fractional positions:
La1 0.0000 0.0000 0.0000
Tb1 0.5000 0.5000 0.5000
Pm1 0.0000 0.5000 0.2534
Pm2 0.0000 0.5000 0.7466
Pm3 0.5000 0.0000 0.2542
Pm4 0.5000 0.0000 0.7458
Tm1 0.0000 0.0000 0.5000
Tm2 0.5000 0.5000 0.0000